LiMg2: theoretical powder diffraction line list (λ = 1.5418 Å (Cu Kα)), based on a GGA-PBE-relaxed structure.

Crystal structure
Lattice parameters (Å, degrees): 5.756 5.756 5.756 144.96 144.96 50.39
Fractional positions:
Li: 0.000 0.000 0.000
Mg: 0.341 0.341 0.000
Mg: 0.659 0.659 0.000

Main lines, low angle first (15° ≤ 2θ ≤ 90°):
17.0°, d 5.208, rel. 10; 27.1°, d 3.288, rel. 25; 34.4°, d 2.604, rel. 5; 36.6°, d 2.452, rel. 100; 51.2°, d 1.785, rel. 7; 52.7°, d 1.736, rel. 5; 52.8°, d 1.733, rel. 11; 66.0°, d 1.416, rel. 32; 77.9°, d 1.226, rel. 9; 89.4°, d 1.096, rel. 9